Computed XRD peak list of CaLa2TiNi for Cu Kα (λ = 1.5418 Å), from a DFT-relaxed cell (PBE, Alexandria).
Lines closer than 0.1° are merged.

Largest 10 diffraction maxima, by angle, 2θ = 15–90°:
20.04 deg, intensity 23
29.60 deg, intensity 100
30.69 deg, intensity 71
36.92 deg, intensity 19
40.72 deg, intensity 16
43.95 deg, intensity 26
51.84 deg, intensity 31
53.89 deg, intensity 37
61.46 deg, intensity 18
86.69 deg, intensity 14

Crystal structure
Cell: 5.8266 5.8266 4.4317 Å, 90.00 90.00 90.00°
Space group P4/mmm (No. 123)
Symmetry-distinct sites (fractional):
1 Ca 0.0000 0.0000 0.0000 x1
2 La 0.0000 0.5000 0.0000 x2
3 Ti 0.5000 0.5000 0.5000 x1
4 Ni 0.0000 0.0000 0.5000 x1